Entry 1:
Calculated powder diffractogram of Ce2InSe4 for Cu Kα (weighted mean of Kα1 and Kα2), from a GGA-PBE-relaxed structure.

a = 7.379 Å, b = 7.379 Å, c = 14.260 Å
α = 90.00°, β = 90.00°, γ = 146.23°
Atoms (fractional coordinates):
Ce: 0.135 0.865 0.567
Ce: 0.135 0.865 0.933
Ce: 0.865 0.135 0.067
Ce: 0.865 0.135 0.433
In: 0.402 0.598 0.750
In: 0.598 0.402 0.250
Se: 0.055 0.945 0.750
Se: 0.236 0.764 0.111
Se: 0.236 0.764 0.389
Se: 0.500 0.500 0.000
Se: 0.500 0.500 0.500
Se: 0.764 0.236 0.611
Se: 0.764 0.236 0.889
Se: 0.945 0.055 0.250

Top 6 peaks for 2θ = 15–90°, by angle:
Position (°2θ)  I/Imax
22.55  79
28.04  50
28.86  100
30.87  70
38.44  42
42.83  86

***

Entry 2:
Calculated powder diffractogram of CeIn2Se4 for Cu Kα (weighted mean of Kα1 and Kα2), from a GGA-PBE-relaxed structure.

a = 6.610 Å, b = 6.610 Å, c = 6.610 Å
α = 106.48°, β = 106.48°, γ = 115.64°
Atoms (fractional coordinates):
Ce: 0.000 0.000 0.000
In: 0.250 0.750 0.500
In: 0.750 0.250 0.500
Se: 0.191 0.323 0.514
Se: 0.323 0.809 0.132
Se: 0.677 0.191 0.868
Se: 0.809 0.677 0.486

Top 6 peaks for 2θ = 15–90°, by angle:
Position (°2θ)  I/Imax
16.86  39
28.23  100
29.99  63
32.00  68
34.09  41
44.42  99